Simulated X-ray powder pattern
Compound: PtI4O2
Radiation: Cu Kα, 1.54184 Å
Structure: the PBE geometry in the Materials Project
Peak positions follow from Bragg's law for the DFT cell and can differ from measured ones.

Structural model:
```
PtI4O2
1.0
5.194 0.000 0.000
0.000 5.194 0.000
0.000 0.000 13.394
Pt I O
2 8 4
Cartesian
0.000 0.000 0.000
2.597 2.597 6.697
1.224 1.224 4.766
1.224 1.224 8.628
1.373 3.821 1.931
1.373 3.821 11.463
3.821 1.373 1.931
3.821 1.373 11.463
3.969 3.969 4.766
3.969 3.969 8.628
1.261 3.932 6.697
1.336 1.336 0.000
3.858 3.858 0.000
3.932 1.261 6.697
```

Top 12 peaks for 2θ = 5–70°, in order of rising 2θ:
| d_spacing | I/Imax | index |
| --- | --- | --- |
| 4.842 | 41 | 1 0 1 |
| 3.542 | 56 | 1 1 1 |
| 3.386 | 35 | 1 0 3 |
| 3.220 | 21 | 1 1 2 |
| 2.836 | 100 | 1 1 3 |
| 2.597 | 18 | 2 0 0 |
| 2.421 | 21 | 2 0 2 |
| 2.289 | 22 | 2 1 1 |
| 2.052 | 59 | 2 0 4 |
| 1.836 | 29 | 2 2 0 |
| 1.697 | 20 | 1 1 7 |
| 1.541 | 28 | 3 1 3 |